For Na2TbSn9, a DFT-relaxed cell (PBE, Alexandria) gives the theoretical X-ray diffraction stick pattern in this record (λ = 1.5418 Å (Cu Kα)).
No peak broadening, texture or thermal motion is included.

Structure:
Unit cell a=4.6721 b=4.6721 c=14.5325 alpha=90.00 beta=90.00 gamma=90.00
Atoms (fractional coordinates):
Na  0.0000  0.0000  0.1681
Na  0.0000  0.0000  0.8319
Tb  0.0000  0.0000  0.5000
Sn  0.0000  0.5000  0.0000
Sn  0.0000  0.5000  0.3328
Sn  0.0000  0.5000  0.6672
Sn  0.5000  0.0000  0.0000
Sn  0.5000  0.0000  0.3328
Sn  0.5000  0.0000  0.6672
Sn  0.5000  0.5000  0.1644
Sn  0.5000  0.5000  0.5000
Sn  0.5000  0.5000  0.8356

Main lines, sorted by position (10 to 90 degrees two-theta):
two_theta  Rel. int.  h k l
12.18  2.8  0 0 2
19.00  2.7  1 0 0
19.96  3.7  1 0 1
32.81  100.0  1 1 3
37.12  18.0  0 0 6
38.54  32.6  2 0 0
54.58  24.1  2 0 6
55.64  11.4  2 2 0
64.20  15.0  1 1 9
66.12  27.6  3 1 3
68.79  12.3  2 2 6
82.60  3.9  4 0 0